[1]
For V2Pb3O8, a cell relaxed with GGA+U gives the simulated powder X-ray diffraction pattern in this record (Cu Kα X-rays).
Intensities are scaled so that the largest is 100.

Most intense lines, 2θ from 5° to 70°, low angle first:
- hkl 2 0 -1, 4.685 Å, 18.94 deg, rel. 27
- hkl 1 1 1, 3.688 Å, 24.13 deg, rel. 37
- hkl 1 1 -2, 3.272 Å, 27.26 deg, rel. 100
- hkl 0 2 0, 3.248 Å, 27.46 deg, rel. 46
- hkl 2 0 1, 3.085 Å, 28.94 deg, rel. 37
- hkl 3 1 -1, 2.867 Å, 31.20 deg, rel. 66
- hkl 2 2 1, 2.237 Å, 40.32 deg, rel. 29
- hkl 1 1 3, 1.906 Å, 47.72 deg, rel. 19

Structure:
```
data_V2Pb3O8
_chemical_formula_sum 'V4 Pb6 O16'
_cell_length_a 9.587
_cell_length_b 6.495
_cell_length_c 7.584
_cell_angle_alpha 90.00
_cell_angle_beta 115.94
_cell_angle_gamma 90.00
_symmetry_space_group_name_H-M 'C 1 2 1'
_symmetry_Int_Tables_number 5
loop_
_symmetry_equiv_pos_as_xyz
'x,y,z'
'-x,y,-z'
'x+1/2,y+1/2,z'
'-x+1/2,y+1/2,-z'
loop_
_atom_site_label
_atom_site_fract_x
_atom_site_fract_y
_atom_site_fract_z
V1 0.097 0.000 0.302
Pb1 0.000 0.515 0.500
Pb2 0.231 0.572 0.122
O1 0.021 0.218 0.783
O2 0.035 0.799 0.731
O3 0.207 0.947 0.174
O4 0.231 0.041 0.544
```

=====

[2]
For V3Pb5O12, a cell relaxed with GGA+U gives the simulated powder X-ray diffraction pattern in this record (Cu Kα X-rays).
Intensities are scaled so that the largest is 100.

Most intense lines, 2θ from 5° to 70°, low angle first:
- hkl 2 0 0, 4.499 Å, 19.73 deg, rel. 37
- hkl 1 1 1, 4.258 Å, 20.86 deg, rel. 40
- hkl 2 1 0, 3.401 Å, 26.20 deg, rel. 44
- hkl 1 2 1, 3.093 Å, 28.87 deg, rel. 97
- hkl 1 1 2, 3.022 Å, 29.56 deg, rel. 100
- hkl 3 0 0, 3.000 Å, 29.78 deg, rel. 65
- hkl 2 2 2, 2.129 Å, 42.46 deg, rel. 39
- hkl 4 0 2, 1.924 Å, 47.23 deg, rel. 38

Structure:
```
data_V3Pb5O12
_chemical_formula_sum 'V6 Pb10 O24'
_cell_length_a 10.3911
_cell_length_b 10.3911
_cell_length_c 7.4290
_cell_angle_alpha 90.00
_cell_angle_beta 90.00
_cell_angle_gamma 120.00
_symmetry_space_group_name_H-M 'P 63/m'
_symmetry_Int_Tables_number 176
_symmetry_space_group_name_Hall '-P 6c'
loop_
_atom_site_label
_atom_site_fract_x
_atom_site_fract_y
_atom_site_fract_z
V1 0.0199 0.6219 0.2500
Pb1 0.0127 0.2624 0.2500
Pb2 0.3333 0.6667 0.5112
O1 0.0849 0.7406 0.0634
O2 0.1101 0.5130 0.2500
O3 0.1764 0.4909 0.7500
```

=====

[3]
For V2Pb3O8, a cell relaxed with GGA+U gives the simulated powder X-ray diffraction pattern in this record (Cu Kα X-rays).
Intensities are scaled so that the largest is 100.

Most intense lines, 2θ from 5° to 70°, low angle first:
- hkl 0 1 1, 5.243 Å, 16.91 deg, rel. 23
- hkl 1 1 -2, 3.784 Å, 23.51 deg, rel. 30
- hkl 1 1 1, 3.731 Å, 23.85 deg, rel. 24
- hkl 2 1 -1, 3.257 Å, 27.38 deg, rel. 100
- hkl 1 0 2, 3.120 Å, 28.61 deg, rel. 60
- hkl 0 2 1, 3.078 Å, 29.01 deg, rel. 44
- hkl 1 1 -3, 2.857 Å, 31.31 deg, rel. 74
- hkl 3 1 1, 1.919 Å, 47.37 deg, rel. 26

Structure:
```
data_V2Pb3O8
_chemical_formula_sum 'V4 Pb6 O16'
_cell_length_a 7.496
_cell_length_b 6.586
_cell_length_c 9.514
_cell_angle_alpha 90.00
_cell_angle_beta 114.43
_cell_angle_gamma 90.00
_symmetry_space_group_name_H-M 'P 1 21/c 1'
_symmetry_Int_Tables_number 14
loop_
_symmetry_equiv_pos_as_xyz
'x,y,z'
'-x,-y,-z'
'-x,y+1/2,-z+1/2'
'x,-y+1/2,z+1/2'
loop_
_atom_site_label
_atom_site_fract_x
_atom_site_fract_y
_atom_site_fract_z
V1 0.200 0.020 0.401
Pb1 0.000 0.000 0.000
Pb2 0.385 0.612 0.288
O1 0.040 0.540 0.231
O2 0.240 0.696 0.022
O3 0.271 0.235 0.515
O4 0.333 0.525 0.787
```

=====

[4]
For V5Pb2O12, a cell relaxed with GGA+U gives the simulated powder X-ray diffraction pattern in this record (Cu Kα X-rays).
Intensities are scaled so that the largest is 100.

Most intense lines, 2θ from 5° to 70°, low angle first:
- hkl 1 0 -2, 5.250 Å, 16.89 deg, rel. 48
- hkl 0 1 1, 4.900 Å, 18.10 deg, rel. 51
- hkl 1 1 -2, 3.756 Å, 23.69 deg, rel. 45
- hkl 1 1 -3, 3.116 Å, 28.65 deg, rel. 100
- hkl 2 1 1, 3.084 Å, 28.95 deg, rel. 99
- hkl 3 0 -2, 2.688 Å, 33.34 deg, rel. 47
- hkl 1 0 4, 2.678 Å, 33.46 deg, rel. 44
- hkl 0 2 1, 2.622 Å, 34.20 deg, rel. 36

Structure:
```
data_V5Pb2O12
_chemical_formula_sum 'V10 Pb4 O24'
_cell_length_a 8.459
_cell_length_b 5.376
_cell_length_c 12.061
_cell_angle_alpha 90.00
_cell_angle_beta 98.89
_cell_angle_gamma 90.00
_symmetry_space_group_name_H-M 'P 1 2/c 1'
_symmetry_Int_Tables_number 13
loop_
_symmetry_equiv_pos_as_xyz
'x,y,z'
'-x,-y,-z'
'-x,y,-z+1/2'
'x,-y,z+1/2'
loop_
_atom_site_label
_atom_site_fract_x
_atom_site_fract_y
_atom_site_fract_z
V1 0.000 0.103 0.250
V2 0.154 0.120 0.976
V3 0.436 0.104 0.382
Pb1 0.281 0.353 0.678
O1 0.000 0.411 0.250
O2 0.061 0.025 0.605
O3 0.174 0.425 0.995
O4 0.213 0.017 0.830
O5 0.365 0.038 0.531
O6 0.454 0.411 0.362
O7 0.500 0.062 0.750
```

=====

[5]
For VZnPbO4, a cell relaxed with GGA+U gives the simulated powder X-ray diffraction pattern in this record (Cu Kα X-rays).
Intensities are scaled so that the largest is 100.

Most intense lines, 2θ from 5° to 70°, low angle first:
- hkl 1 1 0, 3.943 Å, 22.55 deg, rel. 100
- hkl 1 1 -1, 3.701 Å, 24.04 deg, rel. 56
- hkl 0 0 2, 3.262 Å, 27.34 deg, rel. 48
- hkl 1 1 1, 3.121 Å, 28.60 deg, rel. 55
- hkl 0 2 0, 2.941 Å, 30.39 deg, rel. 74
- hkl 1 1 -2, 2.788 Å, 32.11 deg, rel. 90
- hkl 1 1 2, 2.306 Å, 39.06 deg, rel. 49
- hkl 0 2 2, 2.184 Å, 41.33 deg, rel. 48

Structure:
```
data_VZnPbO4
_chemical_formula_sum 'V2 Zn2 Pb2 O8'
_cell_length_a 5.497
_cell_length_b 5.883
_cell_length_c 6.750
_cell_angle_alpha 90.00
_cell_angle_beta 104.90
_cell_angle_gamma 90.00
_symmetry_space_group_name_H-M 'P 1 21/m 1'
_symmetry_Int_Tables_number 11
loop_
_symmetry_equiv_pos_as_xyz
'x,y,z'
'-x,-y,-z'
'-x,y+1/2,-z'
'x,-y+1/2,z'
loop_
_atom_site_label
_atom_site_fract_x
_atom_site_fract_y
_atom_site_fract_z
V1 0.207 0.250 0.172
Zn1 0.390 0.750 0.033
Pb1 0.257 0.750 0.499
O1 0.025 0.750 0.061
O2 0.120 0.250 0.408
O3 0.477 0.037 0.197
```

=====

[6]
For PbWO6, a cell relaxed with GGA+U gives the simulated powder X-ray diffraction pattern in this record (Cu Kα X-rays).
Intensities are scaled so that the largest is 100.

Most intense lines, 2θ from 5° to 70°, low angle first:
- hkl 2 0 0, 4.077 Å, 21.80 deg, rel. 100
- hkl 2 2 0, 2.883 Å, 31.02 deg, rel. 58
- hkl 2 2 2, 2.354 Å, 38.24 deg, rel. 15
- hkl 4 0 0, 2.038 Å, 44.45 deg, rel. 20
- hkl 4 2 0, 1.823 Å, 50.03 deg, rel. 43
- hkl 4 2 2, 1.664 Å, 55.19 deg, rel. 24
- hkl 4 4 0, 1.441 Å, 64.67 deg, rel. 12
- hkl 6 0 0, 1.359 Å, 69.13 deg, rel. 20

Structure:
```
data_PbWO6
_chemical_formula_sum 'Pb4 W4 O24'
_cell_length_a 8.153
_cell_length_b 8.153
_cell_length_c 8.153
_cell_angle_alpha 90.00
_cell_angle_beta 90.00
_cell_angle_gamma 90.00
_symmetry_space_group_name_H-M 'F m -3 m'
_symmetry_Int_Tables_number 225
_symmetry_space_group_name_Hall '-F 4 2 3'
loop_
_atom_site_label
_atom_site_fract_x
_atom_site_fract_y
_atom_site_fract_z
Pb1 0.000 0.000 0.000
W1 0.000 0.000 0.500
O1 0.000 0.000 0.264
```

=====

[7]
For Pb2WO5, a cell relaxed with GGA+U gives the simulated powder X-ray diffraction pattern in this record (Cu Kα X-rays).
Intensities are scaled so that the largest is 100.

Most intense lines, 2θ from 5° to 70°, low angle first:
- hkl 0 0 2, 3.194 Å, 27.93 deg, rel. 27
- hkl 3 1 0, 3.108 Å, 28.73 deg, rel. 100
- hkl 0 2 0, 2.928 Å, 30.53 deg, rel. 22
- hkl 0 2 2, 2.158 Å, 41.85 deg, rel. 19
- hkl 6 0 0, 1.833 Å, 49.74 deg, rel. 11
- hkl 3 1 2, 1.827 Å, 49.91 deg, rel. 24
- hkl 3 3 0, 1.723 Å, 53.16 deg, rel. 20
- hkl 6 2 0, 1.554 Å, 59.50 deg, rel. 12

Structure:
```
data_Pb2WO5
_chemical_formula_sum 'Pb8 W4 O20'
_cell_length_a 13.431
_cell_length_b 5.856
_cell_length_c 7.805
_cell_angle_alpha 90.00
_cell_angle_beta 125.06
_cell_angle_gamma 90.00
_symmetry_space_group_name_H-M 'C 1 c 1'
_symmetry_Int_Tables_number 9
loop_
_symmetry_equiv_pos_as_xyz
'x,y,z'
'x,-y,z+1/2'
'x+1/2,y+1/2,z'
'x+1/2,-y+1/2,z+1/2'
loop_
_atom_site_label
_atom_site_fract_x
_atom_site_fract_y
_atom_site_fract_z
Pb1 0.000 0.016 0.000
Pb2 0.313 0.020 0.526
W1 0.156 0.490 0.988
O1 0.100 0.204 0.385
O2 0.156 0.390 0.761
O3 0.211 0.204 0.139
O4 0.322 0.392 0.651
O5 0.490 0.107 0.376
```

=====

[8]
For Pb2W3O10, a cell relaxed with GGA+U gives the simulated powder X-ray diffraction pattern in this record (Cu Kα X-rays).
Intensities are scaled so that the largest is 100.

Most intense lines, 2θ from 5° to 70°, low angle first:
- hkl 3 1 1, 3.261 Å, 27.35 deg, rel. 100
- hkl 3 1 -2, 3.229 Å, 27.63 deg, rel. 40
- hkl 4 0 1, 3.201 Å, 27.88 deg, rel. 61
- hkl 6 0 -1, 3.130 Å, 28.52 deg, rel. 40
- hkl 0 2 0, 3.093 Å, 28.87 deg, rel. 24
- hkl 0 2 1, 2.840 Å, 31.50 deg, rel. 20
- hkl 3 3 1, 1.816 Å, 50.23 deg, rel. 18
- hkl 2 2 3, 1.745 Å, 52.44 deg, rel. 18

Structure:
```
data_Pb2W3O10
_chemical_formula_sum 'Pb8 W12 O40'
_cell_length_a 18.782
_cell_length_b 6.185
_cell_length_c 7.817
_cell_angle_alpha 90.00
_cell_angle_beta 112.80
_cell_angle_gamma 90.00
_symmetry_space_group_name_H-M 'C 1 m 1'
_symmetry_Int_Tables_number 8
loop_
_symmetry_equiv_pos_as_xyz
'x,y,z'
'x,-y,z'
'x+1/2,y+1/2,z'
'x+1/2,-y+1/2,z'
loop_
_atom_site_label
_atom_site_fract_x
_atom_site_fract_y
_atom_site_fract_z
Pb1 0.000 0.000 0.000
Pb2 0.094 0.000 0.623
Pb3 0.194 0.500 0.910
Pb4 0.315 0.500 0.585
W1 0.088 0.500 0.316
W2 0.214 0.000 0.264
W3 0.320 0.000 0.807
W4 0.402 0.251 0.287
W5 0.488 0.000 0.768
O1 0.010 0.260 0.312
O2 0.041 0.500 0.049
O3 0.044 0.249 0.768
O4 0.135 0.500 0.572
O5 0.156 0.237 0.298
O6 0.173 0.000 0.014
O7 0.262 0.235 0.822
O8 0.277 0.000 0.546
O9 0.298 0.224 0.271
O10 0.378 0.000 0.096
O11 0.384 0.500 0.109
O12 0.404 0.211 0.795
O13 0.422 0.500 0.470
O14 0.431 0.000 0.478
```

=====

[9]
For Pb2WO5, a cell relaxed with GGA+U gives the simulated powder X-ray diffraction pattern in this record (Cu Kα X-rays).
Intensities are scaled so that the largest is 100.

Most intense lines, 2θ from 5° to 70°, low angle first:
- hkl 3 1 0, 3.576 Å, 24.90 deg, rel. 100
- hkl 1 1 -2, 3.173 Å, 28.12 deg, rel. 66
- hkl 4 0 -2, 3.047 Å, 29.31 deg, rel. 16
- hkl 0 2 0, 2.980 Å, 29.99 deg, rel. 54
- hkl 2 0 2, 2.724 Å, 32.88 deg, rel. 17
- hkl 4 2 -2, 2.130 Å, 42.43 deg, rel. 19
- hkl 2 2 2, 2.011 Å, 45.09 deg, rel. 19
- hkl 1 1 -4, 1.749 Å, 52.31 deg, rel. 19

Structure:
```
data_Pb2WO5
_chemical_formula_sum 'Pb8 W4 O20'
_cell_length_a 14.420
_cell_length_b 5.959
_cell_length_c 7.546
_cell_angle_alpha 90.00
_cell_angle_beta 111.58
_cell_angle_gamma 90.00
_symmetry_space_group_name_H-M 'C 1 2/m 1'
_symmetry_Int_Tables_number 12
loop_
_symmetry_equiv_pos_as_xyz
'x,y,z'
'-x,-y,-z'
'-x,y,-z'
'x,-y,z'
'x+1/2,y+1/2,z'
'-x+1/2,-y+1/2,-z'
'-x+1/2,y+1/2,-z'
'x+1/2,-y+1/2,z'
loop_
_atom_site_label
_atom_site_fract_x
_atom_site_fract_y
_atom_site_fract_z
Pb1 0.008 0.000 0.247
Pb2 0.134 0.500 0.106
W1 0.172 0.500 0.655
O1 0.000 0.247 0.000
O2 0.095 0.500 0.399
O3 0.145 0.257 0.773
O4 0.196 0.000 0.307
```